Starting from the GGA-PBE geometry in Alexandria, the PXRD pattern of LiBeGaCl4 was computed for λ = 1.5418 Å (Cu Kα).

The 10 most intense peaks (10° ≤ 2θ ≤ 90°), by intensity:
d (Å), Rel. int.
3.078, 100
5.944, 85
4.585, 62
2.864, 54
2.292, 36
2.439, 30
2.813, 29
2.661, 27
5.290, 24
2.974, 23

Crystal structure
a b c (Å): 5.9881 7.1976 9.2382
angles (deg): 90.00 97.00 90.00
Element x y z (fractional)
Li (0.1319, 0.2500, 0.2704)
Li (0.8681, 0.7500, 0.7296)
Be (0.3707, 0.7500, 0.7330)
Be (0.6293, 0.2500, 0.2670)
Ga (0.4956, 0.2500, 0.7839)
Ga (0.5044, 0.7500, 0.2161)
Cl (0.1639, 0.5234, 0.7361)
Cl (0.1639, 0.9766, 0.7361)
Cl (0.3871, 0.2500, 0.0901)
Cl (0.4555, 0.2500, 0.4403)
Cl (0.5445, 0.7500, 0.5597)
Cl (0.6129, 0.7500, 0.9099)
Cl (0.8361, 0.0234, 0.2639)
Cl (0.8361, 0.4766, 0.2639)

---

Starting from the GGA-PBE geometry in Alexandria, the PXRD pattern of BeTlGaCl4 was computed for λ = 1.5418 Å (Cu Kα).

The 10 most intense peaks (10° ≤ 2θ ≤ 90°), by intensity:
d (Å), Rel. int.
4.609, 100
2.677, 75
3.621, 64
3.060, 49
3.443, 44
3.050, 40
2.793, 38
4.575, 35
2.304, 33
2.034, 33

Crystal structure
a b c (Å): 6.6123 6.8851 9.0642
angles (deg): 90.00 110.24 90.00
Element x y z (fractional)
Be (0.2092, 0.2500, 0.2946)
Be (0.7908, 0.7500, 0.7054)
Tl (0.2907, 0.7500, 0.0784)
Tl (0.7093, 0.2500, 0.9216)
Ga (0.2261, 0.7500, 0.5339)
Ga (0.7739, 0.2500, 0.4661)
Cl (0.0162, 0.0119, 0.2365)
Cl (0.0162, 0.4881, 0.2365)
Cl (0.3794, 0.2500, 0.5303)
Cl (0.4162, 0.2500, 0.1716)
Cl (0.5838, 0.7500, 0.8284)
Cl (0.6206, 0.7500, 0.4697)
Cl (0.9838, 0.5119, 0.7635)
Cl (0.9838, 0.9881, 0.7635)

---

Starting from the GGA-PBE geometry in Alexandria, the PXRD pattern of BeHCl2 was computed for λ = 1.5418 Å (Cu Kα).

The 10 most intense peaks (10° ≤ 2θ ≤ 90°), by intensity:
d (Å), Rel. int.
6.320, 100
3.192, 94
2.246, 35
1.708, 14
1.933, 13
2.234, 12
2.651, 12
2.826, 12
1.616, 10
1.584, 8

Crystal structure
a b c (Å): 6.8529 6.8529 5.3015
angles (deg): 112.75 112.75 81.41
Element x y z (fractional)
Be (0.0000, 0.0000, 0.0000)
Be (0.0000, 0.0000, 0.5000)
H (0.5013, 0.5020, 0.7498)
H (0.5020, 0.5013, 0.2498)
Cl (0.0001, 0.2452, 0.3724)
Cl (0.0001, 0.7552, 0.1275)
Cl (0.2452, 0.0001, 0.8724)
Cl (0.7552, 0.0001, 0.6275)

---

Starting from the GGA-PBE geometry in Alexandria, the PXRD pattern of Be4H7Cl was computed for λ = 1.5418 Å (Cu Kα).

The 10 most intense peaks (10° ≤ 2θ ≤ 90°), by intensity:
d (Å), Rel. int.
2.766, 100
3.995, 86
4.320, 85
5.879, 42
2.995, 36
2.881, 31
2.940, 20
2.008, 19
2.144, 17
1.662, 15

Crystal structure
a b c (Å): 11.7583 4.6443 4.2479
angles (deg): 90.00 90.00 90.00
Element x y z (fractional)
Be (0.0935, 0.0074, 0.0000)
Be (0.2468, 0.6664, 0.2918)
Be (0.2532, 0.3336, 0.7918)
Be (0.4065, 0.9926, 0.5000)
Be (0.5935, 0.9926, 0.5000)
Be (0.7468, 0.3336, 0.7918)
Be (0.7532, 0.6664, 0.2918)
Be (0.9065, 0.0074, 0.0000)
H (0.0000, 0.8626, 0.8359)
H (0.1426, 0.7992, 0.2059)
H (0.1639, 0.1270, 0.7605)
H (0.2232, 0.5845, 0.6121)
H (0.2768, 0.4155, 0.1121)
H (0.3361, 0.8730, 0.2605)
H (0.3574, 0.2008, 0.7059)
H (0.5000, 0.1374, 0.3359)
H (0.6426, 0.2008, 0.7059)
H (0.6639, 0.8730, 0.2605)
H (0.7232, 0.4155, 0.1121)
H (0.7768, 0.5845, 0.6121)
H (0.8361, 0.1270, 0.7605)
H (0.8574, 0.7992, 0.2059)
Cl (0.0000, 0.2861, 0.2533)
Cl (0.5000, 0.7139, 0.7533)

---

Starting from the GGA-PBE geometry in Alexandria, the PXRD pattern of Be2In2HgCl6 was computed for λ = 1.5418 Å (Cu Kα).

The 10 most intense peaks (10° ≤ 2θ ≤ 90°), by intensity:
d (Å), Rel. int.
3.295, 100
5.151, 95
6.019, 94
4.750, 92
2.600, 72
3.405, 64
3.154, 61
3.440, 60
2.576, 52
4.271, 48

Crystal structure
a b c (Å): 7.0226 7.6523 7.9577
angles (deg): 77.32 78.76 63.78
Element x y z (fractional)
Be (0.2430, 0.2221, 0.0775)
Be (0.7570, 0.7779, 0.9225)
In (0.2534, 0.8571, 0.7452)
In (0.7466, 0.1429, 0.2548)
Hg (0.5000, 0.5000, 0.5000)
Cl (0.0276, 0.2484, 0.9413)
Cl (0.1996, 0.1741, 0.3258)
Cl (0.4928, 0.2576, 0.9562)
Cl (0.5072, 0.7424, 0.0438)
Cl (0.8004, 0.8259, 0.6742)
Cl (0.9724, 0.7516, 0.0587)

---

Starting from the GGA-PBE geometry in Alexandria, the PXRD pattern of KMnBe2Cl8 was computed for λ = 1.5418 Å (Cu Kα).

The 10 most intense peaks (10° ≤ 2θ ≤ 90°), by intensity:
d (Å), Rel. int.
2.529, 100
2.842, 88
4.192, 62
1.718, 36
3.203, 25
1.614, 25
1.869, 25
2.516, 19
2.180, 16
3.842, 16

Crystal structure
a b c (Å): 10.2037 10.2037 10.2037
angles (deg): 33.90 33.90 33.90
Element x y z (fractional)
K (0.0000, 0.0000, 0.0000)
Mn (0.5000, 0.5000, 0.5000)
Be (0.2389, 0.2389, 0.2389)
Be (0.7611, 0.7611, 0.7611)
Cl (0.1186, 0.7705, 0.4619)
Cl (0.2295, 0.5381, 0.8814)
Cl (0.3071, 0.3071, 0.3071)
Cl (0.4619, 0.1186, 0.7705)
Cl (0.5381, 0.8814, 0.2295)
Cl (0.6929, 0.6929, 0.6929)
Cl (0.7705, 0.4619, 0.1186)
Cl (0.8814, 0.2295, 0.5381)

---

Starting from the GGA-PBE geometry in Alexandria, the PXRD pattern of Li2Be2Cl7 was computed for λ = 1.5418 Å (Cu Kα).

The 10 most intense peaks (10° ≤ 2θ ≤ 90°), by intensity:
d (Å), Rel. int.
2.979, 100
3.800, 54
2.671, 45
2.560, 43
3.921, 31
2.029, 28
2.918, 27
2.901, 26
2.743, 25
5.321, 17

Crystal structure
a b c (Å): 6.6529 6.6529 6.0894
angles (deg): 100.51 100.51 106.21
Element x y z (fractional)
Li (0.1990, 0.8010, 0.0000)
Li (0.8010, 0.1990, 0.0000)
Be (0.2669, 0.2669, 0.6209)
Be (0.7331, 0.7331, 0.3791)
Cl (0.0968, 0.4141, 0.7803)
Cl (0.1355, 0.1355, 0.2769)
Cl (0.4141, 0.0968, 0.7803)
Cl (0.5000, 0.5000, 0.5000)
Cl (0.5859, 0.9032, 0.2197)
Cl (0.8645, 0.8645, 0.7231)
Cl (0.9032, 0.5859, 0.2197)

---

Starting from the GGA-PBE geometry in Alexandria, the PXRD pattern of RbLiBeCl4 was computed for λ = 1.5418 Å (Cu Kα).

The 10 most intense peaks (10° ≤ 2θ ≤ 90°), by intensity:
d (Å), Rel. int.
3.002, 100
2.951, 87
2.928, 84
2.879, 70
2.659, 51
4.312, 50
2.938, 49
2.715, 46
2.225, 44
1.738, 38

Crystal structure
a b c (Å): 5.7592 6.9526 9.1029
angles (deg): 90.00 107.33 90.00
Element x y z (fractional)
Rb (0.2229, 0.2500, 0.3782)
Rb (0.7771, 0.7500, 0.6218)
Li (0.3757, 0.7500, 0.0079)
Li (0.6243, 0.2500, 0.9921)
Be (0.1267, 0.2500, 0.7952)
Be (0.8733, 0.7500, 0.2048)
Cl (0.0358, 0.2500, 0.9913)
Cl (0.1587, 0.7500, 0.3967)
Cl (0.3481, 0.0154, 0.7970)
Cl (0.3481, 0.4846, 0.7970)
Cl (0.6519, 0.5154, 0.2030)
Cl (0.6519, 0.9846, 0.2030)
Cl (0.8413, 0.2500, 0.6033)
Cl (0.9642, 0.7500, 0.0087)

---

Starting from the GGA-PBE geometry in Alexandria, the PXRD pattern of MgBe2Cl was computed for λ = 1.5418 Å (Cu Kα).

The 10 most intense peaks (10° ≤ 2θ ≤ 90°), by intensity:
d (Å), Rel. int.
2.211, 100
2.776, 86
2.582, 83
2.744, 71
4.374, 71
4.688, 56
1.952, 48
1.664, 39
1.468, 24
2.344, 24

Crystal structure
a b c (Å): 5.3786 5.3786 5.3786
angles (deg): 148.84 117.84 71.17
Element x y z (fractional)
Mg (0.0000, 0.0000, 0.0000)
Be (0.2694, 0.7694, 0.5000)
Be (0.4713, 0.4713, 0.0000)
Cl (0.6416, 0.1416, 0.5000)

---

Starting from the GGA-PBE geometry in Alexandria, the PXRD pattern of Mg2BeCl6 was computed for λ = 1.5418 Å (Cu Kα).

The 10 most intense peaks (10° ≤ 2θ ≤ 90°), by intensity:
d (Å), Rel. int.
5.908, 100
3.244, 68
4.491, 66
3.115, 59
2.950, 47
2.991, 36
3.779, 34
3.130, 31
3.268, 27
3.015, 22

Crystal structure
a b c (Å): 9.5299 9.5299 6.5543
angles (deg): 107.26 107.26 93.41
Element x y z (fractional)
Mg (0.1475, 0.3180, 0.4259)
Mg (0.3180, 0.1475, 0.9259)
Mg (0.6820, 0.8525, 0.0741)
Mg (0.8525, 0.6820, 0.5741)
Be (0.2807, 0.7193, 0.7500)
Be (0.7193, 0.2807, 0.2500)
Cl (0.0926, 0.6924, 0.8305)
Cl (0.1331, 0.2703, 0.7523)
Cl (0.2703, 0.1331, 0.2523)
Cl (0.2813, 0.5499, 0.4731)
Cl (0.3076, 0.9074, 0.6695)
Cl (0.4501, 0.7187, 0.0269)
Cl (0.5499, 0.2813, 0.9731)
Cl (0.6924, 0.0926, 0.3305)
Cl (0.7187, 0.4501, 0.5269)
Cl (0.7297, 0.8669, 0.7477)
Cl (0.8669, 0.7297, 0.2477)
Cl (0.9074, 0.3076, 0.1695)